For Te4PbCl, a structure optimized by DFT (PBE) gives the computed XRD peak list in this record (Cu Kα (λ = 1.5418 Å)).
Peak positions follow from Bragg's law for the DFT cell and can differ from measured ones.

```
data_Te4PbCl
_chemical_formula_sum 'Te16 Pb4 Cl4'
_cell_length_a 9.006
_cell_length_b 9.006
_cell_length_c 9.006
_cell_angle_alpha 90.00
_cell_angle_beta 90.00
_cell_angle_gamma 90.00
_symmetry_space_group_name_H-M 'F -4 3 m'
_symmetry_Int_Tables_number 216
_symmetry_space_group_name_Hall 'F -4 2 3'
loop_
_atom_site_label
_atom_site_fract_x
_atom_site_fract_y
_atom_site_fract_z
Te1 0.125 0.125 0.125
Pb1 0.000 0.000 0.500
Cl1 0.250 0.250 0.750
```

Principal peaks in the range 10° ≤ 2θ ≤ 90°, in order of rising 2θ:
2theta	I (rel.)	hkl
17.05	17	1 1 1
19.72	12	2 0 0
28.02	23	2 2 0
32.99	100	3 1 1
34.50	43	2 2 2
45.02	7	4 2 0
49.59	10	4 2 2
52.82	35	5 1 1
57.93	28	4 4 0
68.30	12	5 3 3
69.20	17	6 2 2
82.22	22	7 3 1